# 1
Theoretical powder XRD pattern
Compound: PmY5Th4
Radiation: CuKα
Structure: the PBE geometry in Alexandria

Top 8 peaks for 2θ from 10° to 80°, by angle:
- 16.14 deg, rel. 29, (0 0 2)
- 27.87 deg, rel. 26, (-1 1 1)
- 30.07 deg, rel. 30, (1 -2 1)
- 30.61 deg, rel. 47, (0 1 -4)
- 31.78 deg, rel. 100, (0 3 -2)
- 33.06 deg, rel. 30, (1 1 1)
- 35.50 deg, rel. 18, (1 -2 3)
- 37.23 deg, rel. 17, (-1 1 3)

Cell lengths 3.501, 8.717, 11.684 Å; angles 109.39, 90.01, 101.57 degrees
Space group P-1 (No. 2)
Symmetry-distinct sites (fractional):
Pm1 0.000 0.000 0.000 x1
Y1 0.000 0.000 0.500 x1
Y2 0.290 0.581 0.386 x2
Y3 0.306 0.611 0.913 x2
Th1 0.097 0.194 0.795 x2
Th2 0.412 0.821 0.703 x2

***

# 2
Theoretical powder XRD pattern
Compound: Pm7YTh3
Radiation: CuKα
Structure: the PBE geometry in Alexandria

Top 8 peaks for 2θ from 10° to 80°, by angle:
- 30.38 deg, rel. 13, (0 2 -2)
- 31.44 deg, rel. 69, (2 -1 1)
- 31.54 deg, rel. 100, (-1 2 1)
- 32.15 deg, rel. 38, (2 0 -2)
- 32.31 deg, rel. 11, (1 0 -3)
- 33.14 deg, rel. 23, (1 -2 2)
- 33.31 deg, rel. 26, (1 1 2)
- 46.96 deg, rel. 20, (3 1 0)

Cell lengths 6.524, 6.819, 8.825 Å; angles 101.54, 97.71, 97.54 degrees
Space group P-1 (No. 2)
Symmetry-distinct sites (fractional):
Pm1 0.000 0.000 0.000 x1
Pm2 0.075 0.717 0.645 x2
Pm3 0.200 0.229 0.702 x2
Pm4 0.493 0.731 0.924 x2
Y1 0.000 0.500 0.000 x1
Th1 0.333 0.949 0.335 x2
Th2 0.500 0.500 0.500 x1

***

# 3
Theoretical powder XRD pattern
Compound: Pm6YTh3
Radiation: CuKα
Structure: the PBE geometry in Alexandria

Top 8 peaks for 2θ from 10° to 80°, by angle:
- 27.65 deg, rel. 28, (1 0 2)
- 29.38 deg, rel. 33, (1 2 -1)
- 30.66 deg, rel. 92, (0 3 -5)
- 31.27 deg, rel. 100, (0 4 0)
- 31.33 deg, rel. 87, (0 1 5)
- 33.88 deg, rel. 29, (1 -3 1)
- 33.96 deg, rel. 27, (1 3 -1)
- 61.88 deg, rel. 26, (2 1 5)

Cell lengths 3.529, 11.997, 16.714 Å; angles 107.56, 90.05, 90.17 degrees
Space group P-1 (No. 2)
Symmetry-distinct sites (fractional):
Pm1 0.246 0.121 0.183 x2
Pm2 0.249 0.372 0.718 x2
Pm3 0.249 0.395 0.132 x2
Pm4 0.250 0.134 0.558 x2
Pm5 0.251 0.630 0.680 x2
Pm6 0.254 0.853 0.013 x2
Y1 0.252 0.856 0.234 x2
Th1 0.247 0.887 0.631 x2
Th2 0.249 0.379 0.926 x2
Th3 0.252 0.614 0.474 x2

***

# 4
Theoretical powder XRD pattern
Compound: Pm5Y5Th2
Radiation: CuKα
Structure: the PBE geometry in Alexandria

Top 8 peaks for 2θ from 10° to 80°, by angle:
- 29.30 deg, rel. 21, (1 1 2)
- 29.68 deg, rel. 52, (2 0 2)
- 30.38 deg, rel. 58, (0 2 0)
- 31.81 deg, rel. 100, (5 1 -1)
- 31.93 deg, rel. 94, (3 1 -3)
- 42.99 deg, rel. 38, (2 2 2)
- 54.89 deg, rel. 22, (5 3 -1)
- 54.99 deg, rel. 25, (3 3 -3)

Cell lengths 16.267, 5.884, 9.623 Å; angles 90.00, 119.55, 90.00 degrees
Space group C2/m (No. 12)
Symmetry-distinct sites (fractional):
Pm1 0.000 0.000 0.000 x2
Pm2 0.087 0.000 0.428 x4
Pm3 0.239 0.500 0.724 x4
Y1 0.000 0.500 0.500 x2
Y2 0.082 0.500 0.892 x4
Y3 0.159 0.500 0.302 x4
Th1 0.179 0.000 0.862 x4